Structure and calculated powder X-ray diffraction pattern of InBiS2I (DFT lattice parameters and positions (GGA-PBE); Cu Kα).
Kinematic intensities with the Lorentz-polarization factor, no thermal factor.

Structure:
Cell: 8.057 4.310 11.195 Å, 90.00 110.26 90.00°
Element x y z (fractional)
In: 0.122 0.250 0.151
In: 0.878 0.750 0.849
Bi: 0.142 0.250 0.661
Bi: 0.858 0.750 0.339
S: 0.085 0.250 0.898
S: 0.088 0.250 0.397
S: 0.912 0.750 0.603
S: 0.915 0.750 0.102
I: 0.472 0.750 0.732
I: 0.528 0.250 0.268

Principal peaks in the range 2θ from 10° to 80°, by angle:
- 16.89°, I = 100
- 23.77°, I = 79
- 26.77°, I = 56
- 31.48°, I = 70
- 31.98°, I = 49
- 45.48°, I = 46